Diffraction record for PrNdAsBr. The powder diffractogram is simulated, not measured: it uses the GGA-PBE geometry in OQMD and CuKα.
Lines closer than 0.1° are merged.

The 10 most intense peaks (2θ from 5° to 70°), sorted by position:
two_theta, I_rel
24.37, 11
25.10, 12
27.19, 11
30.38, 100
34.39, 22
42.89, 43
44.10, 19
49.57, 9
53.46, 20
67.04, 11

Structural model:
```
data_PrNdAsBr
_chemical_formula_sum 'Pr2 Nd2 As2 Br2'
_space_group_name_H-M_alt 'P -3 m 1'
_space_group_IT_number 164
_space_group_name_Hall '-P 3 2"'
_cell_length_a 4.2174
_cell_length_b 4.2174
_cell_length_c 14.8995
_cell_angle_alpha 90.00
_cell_angle_beta 90.00
_cell_angle_gamma 120.00
loop_
_atom_site_label
_atom_site_type_symbol
_atom_site_fract_x
_atom_site_fract_y
_atom_site_fract_z
Pr1 Pr 0.3333 0.6667 0.1066
Nd1 Nd 0.3333 0.6667 0.3958
As1 As 0.0000 0.0000 0.0000
As2 As 0.0000 0.0000 0.5000
Br1 Br 0.3333 0.6667 0.7472
```

***

Diffraction record for PrHo2Mg3Ir3. The powder diffractogram is simulated, not measured: it uses the GGA-PBE geometry in OQMD and CuKα.
Lines closer than 0.1° are merged.

The 10 most intense peaks (2θ from 5° to 70°), sorted by position:
two_theta, I_rel
24.36, 52
25.95, 28
32.88, 69
35.90, 100
42.92, 26
43.82, 28
44.32, 24
51.22, 14
63.40, 17
68.52, 18

Structural model:
```
data_PrHo2Mg3Ir3
_chemical_formula_sum 'Pr2 Ho4 Mg6 Ir6'
_space_group_name_H-M_alt 'A m m 2'
_space_group_IT_number 38
_space_group_name_Hall 'A 2 -2'
_cell_length_a 4.0875
_cell_length_b 12.6830
_cell_length_c 7.2918
_cell_angle_alpha 90.00
_cell_angle_beta 90.00
_cell_angle_gamma 90.00
loop_
_atom_site_label
_atom_site_type_symbol
_atom_site_fract_x
_atom_site_fract_y
_atom_site_fract_z
Pr1 Pr 0.0000 0.0000 0.0000
Ho1 Ho 0.0000 0.2040 0.6171
Mg1 Mg 0.5000 0.0000 0.6557
Mg2 Mg 0.5000 0.1230 0.2936
Ir1 Ir 0.0000 0.0000 0.4201
Ir2 Ir 0.5000 0.1717 0.9120
```

***

Diffraction record for Sr3Zn2Si4. The powder diffractogram is simulated, not measured: it uses the GGA-PBE geometry in OQMD and CuKα.
Lines closer than 0.1° are merged.

The 10 most intense peaks (2θ from 5° to 70°), sorted by position:
two_theta, I_rel
31.21, 100
31.44, 51
38.86, 24
42.79, 18
43.31, 35
54.05, 21
59.17, 14
59.55, 13
59.61, 13
65.63, 12

Structural model:
```
data_Sr3Zn2Si4
_chemical_formula_sum 'Sr6 Zn4 Si8'
_space_group_name_H-M_alt 'C 1 2/m 1'
_space_group_IT_number 12
_space_group_name_Hall '-C 2y'
_cell_length_a 11.7486
_cell_length_b 4.2269
_cell_length_c 8.5664
_cell_angle_alpha 90.00
_cell_angle_beta 95.16
_cell_angle_gamma 90.00
loop_
_atom_site_label
_atom_site_type_symbol
_atom_site_fract_x
_atom_site_fract_y
_atom_site_fract_z
Sr1 Sr 0.0000 0.0000 0.0000
Sr2 Sr 0.1629 0.5000 0.6698
Zn1 Zn 0.1126 0.5000 0.2834
Si1 Si 0.0577 0.0000 0.3910
Si2 Si 0.2189 0.5000 0.0536
```

***

Diffraction record for CdCu2SiSeS3. The powder diffractogram is simulated, not measured: it uses the GGA-PBE geometry in OQMD and CuKα.
Lines closer than 0.1° are merged.

The 10 most intense peaks (2θ from 5° to 70°), sorted by position:
two_theta, I_rel
18.07, 21
28.23, 46
28.45, 100
28.56, 56
37.44, 23
46.46, 21
46.62, 21
47.42, 43
47.84, 40
55.58, 24

Structural model:
```
data_CdCu2SiSeS3
_chemical_formula_sum 'Cd2 Cu4 Si2 Se2 S6'
_space_group_name_H-M_alt 'C 1 m 1'
_space_group_IT_number 8
_space_group_name_Hall 'C -2y'
_cell_length_a 7.8183
_cell_length_b 7.7926
_cell_length_c 6.5389
_cell_angle_alpha 90.00
_cell_angle_beta 126.03
_cell_angle_gamma 90.00
loop_
_atom_site_label
_atom_site_type_symbol
_atom_site_fract_x
_atom_site_fract_y
_atom_site_fract_z
Cd1 Cd 0.0000 0.0000 0.0000
Cu1 Cu 0.0057 0.2638 0.5202
Si1 Si 0.4885 0.0000 0.0007
Se1 Se 0.3524 0.5000 0.2736
S1 S 0.3659 0.2181 0.7470
S2 S 0.4029 0.0000 0.2606
```

***

Diffraction record for BaSrCu2. The powder diffractogram is simulated, not measured: it uses the GGA-PBE geometry in OQMD and CuKα.
Lines closer than 0.1° are merged.

The 10 most intense peaks (2θ from 5° to 70°), sorted by position:
two_theta, I_rel
11.35, 48
24.18, 18
29.17, 100
32.97, 33
37.35, 31
41.28, 56
51.35, 20
54.86, 13
63.98, 27
67.91, 17

Structural model:
```
data_BaSrCu2
_chemical_formula_sum 'Ba2 Sr2 Cu4'
_space_group_name_H-M_alt 'P -3 m 1'
_space_group_IT_number 164
_space_group_name_Hall '-P 3 2"'
_cell_length_a 4.3736
_cell_length_b 4.3736
_cell_length_c 15.5957
_cell_angle_alpha 90.00
_cell_angle_beta 90.00
_cell_angle_gamma 120.00
loop_
_atom_site_label
_atom_site_type_symbol
_atom_site_fract_x
_atom_site_fract_y
_atom_site_fract_z
Ba1 Ba 0.3333 0.6667 0.3829
Sr1 Sr 0.3333 0.6667 0.1199
Cu1 Cu 0.0000 0.0000 0.2462
Cu2 Cu 0.3333 0.6667 0.7538
```

***

Diffraction record for DyIn4Pt4. The powder diffractogram is simulated, not measured: it uses the GGA-PBE geometry in OQMD and CuKα.
Lines closer than 0.1° are merged.

The 10 most intense peaks (2θ from 5° to 70°), sorted by position:
two_theta, I_rel
8.81, 7
17.68, 10
22.35, 26
28.64, 8
35.06, 7
38.72, 97
39.23, 100
42.61, 7
56.30, 33
69.74, 9

Structural model:
```
data_DyIn4Pt4
_chemical_formula_sum 'Dy2 In8 Pt8'
_space_group_name_H-M_alt 'P 63/m m c'
_space_group_IT_number 194
_space_group_name_Hall '-P 6c 2c'
_cell_length_a 4.5925
_cell_length_b 4.5925
_cell_length_c 20.0678
_cell_angle_alpha 90.00
_cell_angle_beta 90.00
_cell_angle_gamma 120.00
loop_
_atom_site_label
_atom_site_type_symbol
_atom_site_fract_x
_atom_site_fract_y
_atom_site_fract_z
Dy1 Dy 0.3333 0.6667 0.2500
In1 In 0.0000 0.0000 0.1422
In2 In 0.3333 0.6667 0.5416
Pt1 Pt 0.3333 0.6667 0.0953
Pt2 Pt 0.3333 0.6667 0.6808
```

***

Diffraction record for DyInAu6. The powder diffractogram is simulated, not measured: it uses the GGA-PBE geometry in OQMD and CuKα.
Lines closer than 0.1° are merged.

The 10 most intense peaks (2θ from 5° to 70°), sorted by position:
two_theta, I_rel
34.49, 9
34.71, 27
35.60, 45
38.97, 57
39.17, 100
50.57, 19
61.93, 18
62.36, 9
66.19, 12
66.33, 22

Structural model:
```
data_DyInAu6
_chemical_formula_sum 'Dy1 In1 Au6'
_space_group_name_H-M_alt 'P m m 2'
_space_group_IT_number 25
_space_group_name_Hall 'P 2 -2'
_cell_length_a 5.0434
_cell_length_b 5.9559
_cell_length_c 5.2010
_cell_angle_alpha 90.00
_cell_angle_beta 90.00
_cell_angle_gamma 90.00
loop_
_atom_site_label
_atom_site_type_symbol
_atom_site_fract_x
_atom_site_fract_y
_atom_site_fract_z
Dy1 Dy 0.0000 0.0000 0.0000
In1 In 0.5000 0.5000 0.3161
Au1 Au 0.0000 0.2570 0.4995
Au2 Au 0.0000 0.5000 0.9976
Au3 Au 0.5000 0.0000 0.3240
Au4 Au 0.5000 0.2499 0.8213
```

***

Diffraction record for BiOsO4. The powder diffractogram is simulated, not measured: it uses the GGA-PBE geometry in OQMD and CuKα.
Lines closer than 0.1° are merged.

The 10 most intense peaks (2θ from 5° to 70°), sorted by position:
two_theta, I_rel
28.67, 100
31.90, 15
33.88, 24
40.17, 1
47.21, 30
48.66, 14
54.87, 17
57.46, 29
59.37, 12
66.67, 2

Structural model:
```
data_BiOsO4
_chemical_formula_sum 'Bi4 Os4 O16'
_space_group_name_H-M_alt 'I 41/a'
_space_group_IT_number 88
_cell_length_a 5.2923
_cell_length_b 5.2923
_cell_length_c 11.2232
_cell_angle_alpha 90.00
_cell_angle_beta 90.00
_cell_angle_gamma 90.00
loop_
_space_group_symop_operation_xyz
'x,y,z'
'-x,-y,-z'
'-y+3/4,x+1/4,z+1/4'
'y+3/4,-x+1/4,-z+1/4'
'-x+1/2,-y,z+1/2'
'x+1/2,y,-z+1/2'
'y+3/4,-x+3/4,z+3/4'
'-y+3/4,x+3/4,-z+3/4'
'x+1/2,y+1/2,z+1/2'
'-x+1/2,-y+1/2,-z+1/2'
'-y+1/4,x+3/4,z+3/4'
'y+1/4,-x+3/4,-z+3/4'
'-x,-y+1/2,z'
'x,y+1/2,-z'
'y+1/4,-x+1/4,z+1/4'
'-y+1/4,x+1/4,-z+1/4'
loop_
_atom_site_label
_atom_site_type_symbol
_atom_site_fract_x
_atom_site_fract_y
_atom_site_fract_z
Bi1 Bi 0.0000 0.2500 0.1250
Os1 Os 0.0000 0.2500 0.6250
O1 O 0.1813 0.0088 0.7122
```

***

Diffraction record for TaF4. The powder diffractogram is simulated, not measured: it uses the GGA-PBE geometry in OQMD and CuKα.
Lines closer than 0.1° are merged.

The 10 most intense peaks (2θ from 5° to 70°), sorted by position:
two_theta, I_rel
21.10, 18
25.20, 81
25.98, 100
27.10, 33
27.23, 66
42.89, 18
44.08, 36
47.83, 23
51.97, 26
52.80, 21

Structural model:
```
data_TaF4
_chemical_formula_sum 'Ta4 F16'
_space_group_name_H-M_alt 'P 21 21 21'
_space_group_IT_number 19
_space_group_name_Hall 'P 2ac 2ab'
_cell_length_a 4.7587
_cell_length_b 5.2754
_cell_length_c 9.0266
_cell_angle_alpha 90.00
_cell_angle_beta 90.00
_cell_angle_gamma 90.00
loop_
_atom_site_label
_atom_site_type_symbol
_atom_site_fract_x
_atom_site_fract_y
_atom_site_fract_z
Ta1 Ta 0.1606 0.0084 0.3953
F1 F 0.0258 0.7622 0.2397
F2 F 0.0386 0.9564 0.7578
F3 F 0.0554 0.2126 0.0002
F4 F 0.1699 0.6785 0.9886
```